(1)
Simulated powder diffraction line list of Tb2Er5Tm2 for copper Kα, from a PBE-relaxed structure.
Kinematic intensities with the Lorentz-polarization factor, no thermal factor.

Most intense lines, 15 to 90 degrees two-theta, by angle:
2theta	d [Å]	I/Imax
30.5	2.930	5
30.7	2.912	19
31.6	2.829	100
33.7	2.658	28
34.0	2.633	21
34.4	2.610	8
41.1	2.198	8
48.0	1.894	8
49.3	1.848	8
55.0	1.670	7
59.0	1.567	7
59.4	1.555	6

Crystal structure
abc: 3.4683 8.3173 10.1552
angles: 76.74 80.66 78.32
Sites, in units of the cell vectors:
1 Tb 0.0715 0.4948 0.3259
2 Tb 0.9285 0.5052 0.6741
3 Er 0.1463 0.8558 0.7897
4 Er 0.3763 0.8301 0.4443
5 Er 0.5000 0.5000 0.0000
6 Er 0.6237 0.1699 0.5557
7 Er 0.8537 0.1442 0.2103
8 Tm 0.4416 0.1772 0.8918
9 Tm 0.5584 0.8228 0.1082


(2)
Simulated powder diffraction line list of Tb4ErTm5 for copper Kα, from a PBE-relaxed structure.
Kinematic intensities with the Lorentz-polarization factor, no thermal factor.

Most intense lines, 15 to 90 degrees two-theta, by angle:
2theta	d [Å]	I/Imax
29.8	2.997	44
31.9	2.804	66
32.2	2.778	22
32.5	2.757	100
32.9	2.723	98
33.1	2.710	20
43.6	2.076	12
49.4	1.844	25
57.0	1.616	21
57.8	1.596	19
60.1	1.540	19
81.7	1.178	11

Crystal structure
abc: 3.5220 6.6923 13.7404
angles: 97.48 90.38 104.88
Sites, in units of the cell vectors:
1 Tb 0.1233 0.2049 0.3074
2 Tb 0.1762 0.3257 0.7127
3 Tb 0.8238 0.6743 0.2873
4 Tb 0.8767 0.7951 0.6926
5 Er 0.0000 0.5000 0.5000
6 Tm 0.1877 0.3749 0.0832
7 Tm 0.4654 0.9193 0.1133
8 Tm 0.5000 0.0000 0.5000
9 Tm 0.5346 0.0807 0.8867
10 Tm 0.8123 0.6251 0.9168


(3)
Simulated powder diffraction line list of Tb3Er3Tm4 for copper Kα, from a PBE-relaxed structure.
Kinematic intensities with the Lorentz-polarization factor, no thermal factor.

Most intense lines, 15 to 90 degrees two-theta, by angle:
2theta	d [Å]	I/Imax
27.3	3.268	13
30.6	2.923	63
31.3	2.854	30
32.8	2.727	100
35.0	2.564	14
39.6	2.276	9
40.2	2.242	9
47.7	1.907	11
50.3	1.814	15
56.8	1.622	18
59.6	1.552	16
60.0	1.541	23

Crystal structure
abc: 3.6275 9.2444 9.2444
angles: 89.94 90.00 90.00
Sites, in units of the cell vectors:
1 Tb 0.0000 0.0000 0.0000
2 Tb 0.0000 0.4994 0.8455
3 Tb 0.0000 0.8455 0.4994
4 Er 0.0000 0.3460 0.3460
5 Er 0.5000 0.1734 0.6707
6 Er 0.5000 0.6707 0.1734
7 Tm 0.5000 0.0486 0.2988
8 Tm 0.5000 0.2988 0.0486
9 Tm 0.5000 0.5471 0.5471
10 Tm 0.5000 0.7980 0.7980


(4)
Simulated powder diffraction line list of Tb2ErTm for copper Kα, from a PBE-relaxed structure.
Kinematic intensities with the Lorentz-polarization factor, no thermal factor.

Most intense lines, 15 to 90 degrees two-theta, by angle:
2theta	d [Å]	I/Imax
29.1	3.066	13
30.4	2.940	52
33.0	2.718	100
34.1	2.630	29
50.8	1.796	10
53.2	1.721	17
55.7	1.651	21
60.4	1.533	15
62.5	1.487	8
62.6	1.483	17
65.4	1.426	12
87.2	1.117	13

Crystal structure
abc: 6.8904 6.8904 6.8904
angles: 117.15 105.90 105.65
Sites, in units of the cell vectors:
1 Tb 0.0000 0.0000 0.0000
2 Tb 0.0000 0.5000 0.5000
3 Tb 0.5029 0.4546 0.5483
4 Tb 0.9063 0.9546 0.4517
5 Er 0.4101 0.4101 0.0000
6 Er 0.4101 0.9101 0.5000
7 Tm 0.4973 0.9547 0.0426
8 Tm 0.9122 0.4547 0.9574


(5)
Simulated powder diffraction line list of Tb3Er9Tm2 for copper Kα, from a PBE-relaxed structure.
Kinematic intensities with the Lorentz-polarization factor, no thermal factor.

Most intense lines, 15 to 90 degrees two-theta, by angle:
2theta	d [Å]	I/Imax
31.8	2.814	100
32.0	2.796	19
32.4	2.766	33
33.6	2.666	26
34.1	2.626	20
35.0	2.563	27
41.6	2.171	6
49.0	1.858	7
53.4	1.715	11
55.3	1.662	7
61.5	1.508	7
63.2	1.472	7

Crystal structure
abc: 6.1637 8.5721 8.6566
angles: 79.71 77.12 86.97
Sites, in units of the cell vectors:
1 Tb 0.0000 0.0000 0.0000
2 Tb 0.2504 0.3796 0.2725
3 Tb 0.7496 0.6204 0.7275
4 Er 0.0000 0.0000 0.5000
5 Er 0.0933 0.3130 0.6946
6 Er 0.1927 0.6158 0.8972
7 Er 0.3456 0.6690 0.4936
8 Er 0.4931 0.2444 0.9160
9 Er 0.5069 0.7556 0.0840
10 Er 0.6544 0.3310 0.5064
11 Er 0.8073 0.3842 0.1028
12 Er 0.9067 0.6870 0.3054
13 Tm 0.4480 0.9669 0.6991
14 Tm 0.5520 0.0331 0.3009


(6)
Simulated powder diffraction line list of Tb5Er4Tm3 for copper Kα, from a PBE-relaxed structure.
Kinematic intensities with the Lorentz-polarization factor, no thermal factor.

Most intense lines, 15 to 90 degrees two-theta, by angle:
2theta	d [Å]	I/Imax
31.2	2.870	100
36.1	2.486	51
52.0	1.758	30
52.1	1.755	6
61.9	1.500	25
61.9	1.498	18
65.0	1.434	9
84.9	1.142	6
85.1	1.140	9
87.7	1.113	4
87.8	1.112	8
87.9	1.111	4

Crystal structure
abc: 6.0887 7.0360 8.6054
angles: 89.96 89.88 89.91
Sites, in units of the cell vectors:
1 Tb 0.0000 0.0000 0.0000
2 Tb 0.3324 0.5000 0.6658
3 Tb 0.5004 0.2497 0.0000
4 Tb 0.4996 0.7503 0.0000
5 Tb 0.6676 0.5000 0.3342
6 Er 0.1662 0.2498 0.3340
7 Er 0.3339 0.0000 0.6657
8 Er 0.6661 0.0000 0.3343
9 Er 0.8338 0.7502 0.6660
10 Tm 0.0000 0.5000 0.0000
11 Tm 0.1667 0.7504 0.3339
12 Tm 0.8333 0.2496 0.6661